(1)
Computed XRD peak list of La5PrDy2Er for Cu Kα, from the GGA-PBE geometry in Alexandria.
Lines closer than 0.1° are merged.

Atomic structure:
Cell lengths 9.5647, 9.5647, 14.1754 Å; angles 90.00, 90.00, 90.00 degrees
Space group I4/mcm (No. 140)
Unique sites:
La (0.0000, 0.0000, 0.0000) [4 per cell]
La (0.2014, 0.2986, 0.1345) [16 per cell]
Pr (0.0000, 0.0000, 0.2500) [4 per cell]
Dy (0.1080, 0.3920, 0.5000) [8 per cell]
Er (0.0000, 0.5000, 0.2500) [4 per cell]

Principal peaks in the range 2θ = 15–90°, by angle:
| Position (°2θ) | d_spacing | I (rel.) |
| --- | --- | --- |
| 26.36 | 3.382 | 60 |
| 28.14 | 3.171 | 58 |
| 31.42 | 2.847 | 100 |
| 34.39 | 2.608 | 29 |
| 39.36 | 2.289 | 20 |
| 51.56 | 1.772 | 19 |

(2)
Computed XRD peak list of LaPrDy5Er2 for Cu Kα, from the GGA-PBE geometry in Alexandria.
Lines closer than 0.1° are merged.

Atomic structure:
Cell lengths 5.6179, 19.6859, 10.8016 Å; angles 90.00, 90.00, 90.00 degrees
Space group Cmc2_1 (No. 36)
Unique sites:
La (0.0000, 0.2074, 0.0000) [4 per cell]
Pr (0.0000, 0.4181, 0.4451) [4 per cell]
Dy (0.0000, 0.0182, 0.0235) [4 per cell]
Dy (0.0000, 0.2844, 0.2959) [4 per cell]
Dy (0.0000, 0.2964, 0.6980) [4 per cell]
Dy (0.0000, 0.3946, 0.0190) [4 per cell]
Dy (0.0000, 0.4766, 0.7300) [4 per cell]
Er (0.0000, 0.1073, 0.7305) [4 per cell]
Er (0.0000, 0.1150, 0.3147) [4 per cell]

Principal peaks in the range 2θ = 15–90°, by angle:
| Position (°2θ) | d_spacing | I (rel.) |
| --- | --- | --- |
| 28.43 | 3.139 | 18 |
| 29.82 | 2.996 | 38 |
| 31.86 | 2.809 | 42 |
| 32.34 | 2.768 | 100 |
| 57.09 | 1.613 | 26 |
| 60.03 | 1.541 | 13 |

(3)
Computed XRD peak list of LaPrDyEr2 for Cu Kα, from the GGA-PBE geometry in Alexandria.
Lines closer than 0.1° are merged.

Atomic structure:
Cell lengths 8.4682, 11.5803, 7.2133 Å; angles 90.00, 90.00, 90.00 degrees
Space group Cmcm (No. 63)
Unique sites:
La (0.0000, 0.2346, 0.2500) [4 per cell]
Pr (0.0000, 0.4994, 0.7500) [4 per cell]
Dy (0.0000, 0.2170, 0.7500) [4 per cell]
Er (0.1859, 0.0000, 0.0000) [8 per cell]

Principal peaks in the range 2θ = 15–90°, by angle:
| Position (°2θ) | d_spacing | I (rel.) |
| --- | --- | --- |
| 26.07 | 3.418 | 39 |
| 29.17 | 3.061 | 48 |
| 30.89 | 2.895 | 47 |
| 32.62 | 2.745 | 100 |
| 35.68 | 2.516 | 42 |
| 45.54 | 1.992 | 49 |

(4)
Computed XRD peak list of La5PrDyEr2 for Cu Kα, from the GGA-PBE geometry in Alexandria.
Lines closer than 0.1° are merged.

Atomic structure:
Cell lengths 5.5122, 21.7203, 10.7133 Å; angles 90.00, 90.00, 90.00 degrees
Space group Cmc2_1 (No. 36)
Unique sites:
La (0.0000, 0.9999, 0.0000) [4 per cell]
La (0.0000, 0.1225, 0.2500) [4 per cell]
La (0.0000, 0.2202, 0.9410) [4 per cell]
La (0.0000, 0.2206, 0.5601) [4 per cell]
La (0.0000, 0.4999, 0.2500) [4 per cell]
Pr (0.0000, 0.2848, 0.2505) [4 per cell]
Dy (0.0000, 0.0998, 0.7500) [4 per cell]
Er (0.0000, 0.3874, 0.0025) [4 per cell]
Er (0.0000, 0.3878, 0.4976) [4 per cell]

Principal peaks in the range 2θ = 15–90°, by angle:
| Position (°2θ) | d_spacing | I (rel.) |
| --- | --- | --- |
| 26.26 | 3.393 | 19 |
| 31.08 | 2.878 | 100 |
| 32.49 | 2.756 | 30 |
| 33.46 | 2.678 | 18 |
| 47.33 | 1.921 | 14 |
| 57.07 | 1.614 | 19 |